[1]
Diffraction record for SrCaGe4O12. The powder diffraction line list is theoretical, not measured: it uses a structure optimized by DFT (GGA-PBE) and CuKα.
Kinematic intensities with the Lorentz-polarization factor, no thermal factor.

Cell and atoms:
```
data_SrCaGe4O12
_cell_length_a 5.345
_cell_length_b 5.345
_cell_length_c 7.553
_cell_angle_alpha 90.00
_cell_angle_beta 90.00
_cell_angle_gamma 90.00
_symmetry_space_group_name_H-M 'P 4/m m m'
_symmetry_Int_Tables_number 123
_symmetry_space_group_name_Hall '-P 4 2'
loop_
_atom_site_label
_atom_site_type_symbol
_atom_site_fract_x
_atom_site_fract_y
_atom_site_fract_z
Sr1 Sr 0.000 0.000 0.000
Ca1 Ca 0.500 0.500 0.500
Ge1 Ge 0.000 0.500 0.251
O1 O 0.000 0.500 0.000
O2 O 0.000 0.500 0.500
O3 O 0.252 0.252 0.252
```

Peak list (12 most intense, 10 to 90 degrees two-theta, most intense first)
| 2θ (°) | I/Imax | (hkl) |
| --- | --- | --- |
| 33.5 | 100 | 2 0 0 |
| 23.5 | 55 | 1 1 0 |
| 48.2 | 50 | 2 2 0 |
| 60.0 | 39 | 3 1 2 |
| 20.4 | 31 | 1 0 1 |
| 70.5 | 28 | 4 0 0 |
| 54.3 | 20 | 3 1 0 |
| 80.4 | 17 | 4 2 0 |
| 39.6 | 16 | 2 1 1 |
| 90.0 | 9 | 4 0 4 |
| 75.5 | 8 | 4 0 2 |
| 52.8 | 7 | 3 0 1 |


[2]
Diffraction record for SrCaTbGeO6. The powder diffraction line list is theoretical, not measured: it uses a structure optimized by DFT (GGA-PBE) and CuKα.
Kinematic intensities with the Lorentz-polarization factor, no thermal factor.

Cell and atoms:
```
data_SrCaTbGeO6
_cell_length_a 8.199
_cell_length_b 8.199
_cell_length_c 8.199
_cell_angle_alpha 90.00
_cell_angle_beta 90.00
_cell_angle_gamma 90.00
_symmetry_space_group_name_H-M 'F -4 3 m'
_symmetry_Int_Tables_number 216
_symmetry_space_group_name_Hall 'F -4 2 3'
loop_
_atom_site_label
_atom_site_type_symbol
_atom_site_fract_x
_atom_site_fract_y
_atom_site_fract_z
Sr1 Sr 0.000 0.000 0.000
Ca1 Ca 0.000 0.000 0.500
Tb1 Tb 0.250 0.250 0.250
Ge1 Ge 0.250 0.250 0.750
O1 O 0.019 0.250 0.750
```

Peak list (12 most intense, 10 to 90 degrees two-theta, most intense first)
| 2θ (°) | I/Imax | (hkl) |
| --- | --- | --- |
| 30.8 | 100 | 2 2 0 |
| 54.9 | 39 | 4 2 2 |
| 44.2 | 34 | 4 0 0 |
| 89.4 | 21 | 6 4 2 |
| 21.7 | 21 | 2 0 0 |
| 64.3 | 20 | 4 4 0 |
| 73.0 | 18 | 6 2 0 |
| 18.7 | 13 | 1 1 1 |
| 36.3 | 11 | 3 1 1 |
| 49.7 | 8 | 4 2 0 |
| 81.3 | 7 | 4 4 4 |
| 48.4 | 6 | 3 3 1 |


[3]
Diffraction record for CaTiGeO5. The powder diffraction line list is theoretical, not measured: it uses a structure optimized by DFT (GGA-PBE) and CuKα.
Kinematic intensities with the Lorentz-polarization factor, no thermal factor.

Cell and atoms:
```
data_CaTiGeO5
_cell_length_a 6.771
_cell_length_b 8.966
_cell_length_c 7.278
_cell_angle_alpha 90.00
_cell_angle_beta 114.30
_cell_angle_gamma 90.00
_symmetry_space_group_name_H-M 'P 1 21/c 1'
_symmetry_Int_Tables_number 14
loop_
_symmetry_equiv_pos_as_xyz
'x,y,z'
'-x,-y,-z'
'-x,y+1/2,-z+1/2'
'x,-y+1/2,z+1/2'
loop_
_atom_site_label
_atom_site_type_symbol
_atom_site_fract_x
_atom_site_fract_y
_atom_site_fract_z
Ca1 Ca 0.250 0.075 0.244
Ti1 Ti 0.251 0.746 0.986
Ge1 Ge 0.249 0.068 0.748
O1 O 0.057 0.194 0.580
O2 O 0.147 0.541 0.393
O3 O 0.249 0.683 0.750
O4 O 0.354 0.540 0.105
O5 O 0.440 0.194 0.916
```

Peak list (12 most intense, 10 to 90 degrees two-theta, most intense first)
| 2θ (°) | I/Imax | (hkl) |
| --- | --- | --- |
| 26.7 | 100 | 1 1 -2 |
| 28.9 | 94 | 2 0 0 |
| 33.3 | 94 | 1 3 0 |
| 33.6 | 61 | 0 2 2 |
| 54.1 | 37 | 3 3 0 |
| 60.1 | 26 | 1 3 -4 |
| 18.0 | 26 | 1 1 -1 |
| 57.4 | 24 | 1 5 -2 |
| 52.2 | 23 | 2 2 2 |
| 30.4 | 22 | 2 0 -2 |
| 25.4 | 22 | 1 1 1 |
| 50.6 | 20 | 2 0 -4 |


[4]
Diffraction record for CaTiGeO5. The powder diffraction line list is theoretical, not measured: it uses a structure optimized by DFT (GGA-PBE) and CuKα.
Kinematic intensities with the Lorentz-polarization factor, no thermal factor.

Cell and atoms:
```
data_CaTiGeO5
_cell_length_a 6.731
_cell_length_b 8.975
_cell_length_c 7.213
_cell_angle_alpha 90.00
_cell_angle_beta 113.84
_cell_angle_gamma 90.00
_symmetry_space_group_name_H-M 'C 1 2/c 1'
_symmetry_Int_Tables_number 15
loop_
_symmetry_equiv_pos_as_xyz
'x,y,z'
'-x,-y,-z'
'-x,y,-z+1/2'
'x,-y,z+1/2'
'x+1/2,y+1/2,z'
'-x+1/2,-y+1/2,-z'
'-x+1/2,y+1/2,-z+1/2'
'x+1/2,-y+1/2,z+1/2'
loop_
_atom_site_label
_atom_site_type_symbol
_atom_site_fract_x
_atom_site_fract_y
_atom_site_fract_z
Ca1 Ca 0.000 0.173 0.250
Ti1 Ti 0.000 0.500 0.000
Ge1 Ge 0.000 0.183 0.750
O1 O 0.000 0.433 0.250
O2 O 0.108 0.293 0.608
O3 O 0.190 0.059 0.921
```

Peak list (12 most intense, 10 to 90 degrees two-theta, most intense first)
| 2θ (°) | I/Imax | (hkl) |
| --- | --- | --- |
| 33.3 | 100 | 1 3 0 |
| 26.9 | 93 | 1 1 -2 |
| 29.0 | 88 | 2 0 0 |
| 33.7 | 60 | 0 2 2 |
| 54.2 | 35 | 3 3 0 |
| 18.2 | 26 | 1 1 -1 |
| 60.4 | 25 | 1 3 -4 |
| 52.3 | 23 | 2 2 2 |
| 57.5 | 23 | 1 5 -2 |
| 25.5 | 21 | 1 1 1 |
| 30.7 | 21 | 2 0 -2 |
| 42.6 | 19 | 3 1 -2 |